Calculated PXRD pattern
Compound: ZrPd3Au3
Radiation: λ = 1.5418 Å (Cu Kα)
Structure: a cell relaxed with PBE

Structure:
Unit cell a=5.455 b=7.054 c=7.638 alpha=63.03 beta=69.16 gamma=74.30
Fractional coordinates of all 14 atoms:
Zr: 0.044 0.113 0.146
Zr: 0.956 0.887 0.854
Pd: 0.114 0.482 0.152
Pd: 0.267 0.044 0.440
Pd: 0.424 0.810 0.000
Pd: 0.576 0.190 0.000
Pd: 0.733 0.956 0.560
Pd: 0.886 0.518 0.848
Au: 0.158 0.670 0.428
Au: 0.301 0.221 0.714
Au: 0.416 0.613 0.733
Au: 0.584 0.387 0.267
Au: 0.699 0.779 0.286
Au: 0.842 0.330 0.572

The 10 most intense peaks (2θ from 10° to 90°), by angle:
d/Å  Position (°2θ)  I/Imax
2.517  35.67  18.1
2.509  35.79  22.4
2.498  35.96  34.5
2.383  37.74  80.2
2.257  39.95  100.0
2.238  40.30  57.2
2.214  40.76  54.4
2.188  41.26  52.9
2.168  41.65  40.0
1.454  64.04  18.0

=====

Calculated PXRD pattern
Compound: LiCuH6Ru
Radiation: λ = 1.5418 Å (Cu Kα)
Structure: a cell relaxed with PBE

Structure:
Unit cell a=4.536 b=4.536 c=8.773 alpha=90.00 beta=90.00 gamma=120.00
Fractional coordinates of all 18 atoms:
Li: 0.000 0.000 0.000
Li: 0.000 0.000 0.500
Cu: 0.333 0.667 0.250
Cu: 0.667 0.333 0.750
H: 0.018 0.509 0.620
H: 0.018 0.509 0.880
H: 0.491 0.509 0.620
H: 0.491 0.509 0.880
H: 0.491 0.982 0.620
H: 0.491 0.982 0.880
H: 0.509 0.018 0.120
H: 0.509 0.018 0.380
H: 0.509 0.491 0.120
H: 0.509 0.491 0.380
H: 0.982 0.491 0.120
H: 0.982 0.491 0.380
Ru: 0.333 0.667 0.750
Ru: 0.667 0.333 0.250

The 10 most intense peaks (2θ from 10° to 90°), by angle:
d/Å  Position (°2θ)  I/Imax
4.386  20.24  100.0
3.928  22.64  59.4
2.926  30.55  64.1
2.268  39.74  57.0
2.193  41.16  16.2
2.015  45.00  72.4
1.915  47.47  15.7
1.793  50.94  14.9
1.577  58.55  36.7
1.229  77.69  19.5

=====

Calculated PXRD pattern
Compound: U3Hg6I14
Radiation: λ = 1.5418 Å (Cu Kα)
Structure: a cell relaxed with PBE

Structure:
Unit cell a=11.815 b=11.815 c=9.389 alpha=90.00 beta=90.00 gamma=120.00
Fractional coordinates of all 23 atoms:
U: 0.000 0.000 0.000
U: 0.333 0.667 0.001
U: 0.667 0.333 0.315
Hg: 0.158 0.817 0.561
Hg: 0.183 0.341 0.561
Hg: 0.470 0.253 0.050
Hg: 0.659 0.842 0.561
Hg: 0.747 0.217 0.050
Hg: 0.783 0.530 0.050
I: 0.081 0.543 0.864
I: 0.099 0.862 0.172
I: 0.138 0.236 0.172
I: 0.235 0.106 0.816
I: 0.333 0.667 0.310
I: 0.457 0.538 0.864
I: 0.462 0.919 0.864
I: 0.493 0.055 0.337
I: 0.562 0.507 0.337
I: 0.667 0.333 0.625
I: 0.764 0.901 0.172
I: 0.871 0.765 0.816
I: 0.894 0.129 0.816
I: 0.945 0.438 0.337

The 10 most intense peaks (2θ from 10° to 90°), by angle:
d/Å  Position (°2θ)  I/Imax
6.918  12.80  31.8
5.908  15.00  29.0
5.000  17.74  34.5
4.492  19.76  79.9
3.576  24.90  43.3
3.459  25.76  54.4
3.206  27.83  32.5
2.987  29.91  100.0
2.954  30.26  49.2
2.763  32.40  41.7

=====

Calculated PXRD pattern
Compound: Ac5Pd4
Radiation: λ = 1.5418 Å (Cu Kα)
Structure: a cell relaxed with PBE

Structure:
Unit cell a=7.646 b=7.646 c=7.646 alpha=99.51 beta=99.51 gamma=132.04
Fractional coordinates of all 9 atoms:
Ac: 0.000 0.000 0.000
Ac: 0.192 0.398 0.589
Ac: 0.398 0.808 0.206
Ac: 0.602 0.192 0.794
Ac: 0.808 0.602 0.411
Pd: 0.102 0.703 0.805
Pd: 0.297 0.102 0.398
Pd: 0.703 0.898 0.602
Pd: 0.898 0.297 0.195

The 10 most intense peaks (2θ from 10° to 90°), by angle:
d/Å  Position (°2θ)  I/Imax
3.601  24.72  52.9
3.124  28.57  100.0
3.108  28.73  49.7
2.209  40.85  38.7
2.203  40.96  76.7
1.883  48.33  18.6
1.801  50.70  41.7
1.396  67.02  35.5
1.391  67.30  18.0
1.274  74.45  26.3

=====

Calculated PXRD pattern
Compound: Sm2Zn5Cu
Radiation: λ = 1.5418 Å (Cu Kα)
Structure: a cell relaxed with PBE

Structure:
Unit cell a=8.391 b=8.391 c=8.858 alpha=90.00 beta=90.00 gamma=150.08
Fractional coordinates of all 16 atoms:
Sm: 0.000 0.000 0.000
Sm: 0.000 0.000 0.500
Sm: 0.198 0.802 0.750
Sm: 0.802 0.198 0.250
Zn: 0.187 0.813 0.106
Zn: 0.187 0.813 0.394
Zn: 0.352 0.648 0.024
Zn: 0.352 0.648 0.476
Zn: 0.403 0.597 0.750
Zn: 0.597 0.403 0.250
Zn: 0.648 0.352 0.524
Zn: 0.648 0.352 0.976
Zn: 0.813 0.187 0.606
Zn: 0.813 0.187 0.894
Cu: 0.445 0.555 0.250
Cu: 0.555 0.445 0.750

The 10 most intense peaks (2θ from 10° to 90°), by angle:
d/Å  Position (°2θ)  I/Imax
3.042  29.36  22.9
2.687  33.34  100.0
2.596  34.55  82.4
2.413  37.27  53.6
2.307  39.05  21.5
2.214  40.75  17.6
2.166  41.69  47.2
1.993  45.51  21.3
1.353  69.48  18.4
1.331  70.82  21.1

=====

Calculated PXRD pattern
Compound: SmIn3Ni2
Radiation: λ = 1.5418 Å (Cu Kα)
Structure: a cell relaxed with PBE

Structure:
Unit cell a=8.887 b=8.887 c=10.542 alpha=108.88 beta=108.88 gamma=28.24
Fractional coordinates of all 18 atoms:
Sm: 0.000 0.000 0.000
Sm: 0.158 0.158 0.701
Sm: 0.842 0.842 0.299
In: 0.042 0.042 0.340
In: 0.222 0.222 0.389
In: 0.329 0.329 0.048
In: 0.373 0.373 0.808
In: 0.500 0.500 0.500
In: 0.627 0.627 0.192
In: 0.671 0.671 0.952
In: 0.778 0.778 0.611
In: 0.958 0.958 0.660
Ni: 0.200 0.200 0.126
Ni: 0.367 0.367 0.558
Ni: 0.478 0.478 0.221
Ni: 0.522 0.522 0.779
Ni: 0.633 0.633 0.442
Ni: 0.800 0.800 0.874

The 10 most intense peaks (2θ from 10° to 90°), by angle:
d/Å  Position (°2θ)  I/Imax
3.018  29.60  26.3
2.713  33.01  100.0
2.698  33.20  27.6
2.605  34.42  25.4
2.559  35.07  13.8
2.366  38.04  18.6
2.240  40.26  21.2
2.181  41.40  16.1
2.168  41.66  41.3
2.133  42.38  13.3